Structure and computed powder XRD pattern of La2PmAs3 (a crystal structure in Alexandria, relaxed with PBE; Cu Kα, 1.54184 Å).
No peak broadening, texture or thermal motion is included.

Cell and atoms:
```
La2PmAs3
1.0
-2.1661 2.1661 9.1889
2.1661 -2.1661 9.1889
2.1661 2.1661 -9.1889
La Pm As
2 1 3
Direct
0.1658 0.1658 0.0000
0.8342 0.8342 0.0000
0.5000 0.5000 0.0000
0.0000 0.0000 0.0000
0.3352 0.3352 0.0000
0.6648 0.6648 0.0000
```

Most intense lines, 2θ from 10° to 90°, most intense first:
2θ (°)  Rel. int.
29.2  100
41.7  75
68.5  34
51.7  27
76.1  25
25.2  16
60.4  12
49.3  8
66.5  3
81.7  2